Structure and calculated powder X-ray diffraction pattern of LiV6O11F (a cell relaxed with PBE+U; CuKα).
Neutral-atom scattering factors, no anomalous dispersion.

Main lines, low angle first (2θ from 10° to 90°):
2θ/deg  I_rel
26.5  95
27.2  100
35.4  72
52.7  26
52.9  27
53.6  29

Structure:
```
19
Lattice="4.680 0.000 0.000 -0.129 4.711 0.000 -0.026 -0.025 9.015" Properties=species:S:1:pos:R:3 pbc="T T T"
Li 0.000 0.000 0.000
V -0.083 2.335 6.738
V 2.178 0.117 5.192
V 2.287 0.016 8.158
V 2.355 4.528 2.248
V 4.488 2.438 3.886
V 4.580 2.367 0.725
O 0.873 1.405 5.182
O 0.930 1.337 8.245
O 1.289 3.772 3.708
O 1.298 3.809 0.737
O 1.314 3.773 6.691
O 3.214 0.904 3.709
O 3.223 0.868 6.693
O 3.259 0.869 0.749
O 3.611 3.286 5.133
O 3.638 3.266 2.286
O 3.626 3.277 8.258
F 0.872 1.422 2.274
```